[1]
Structure and computed PXRD pattern of Pm3Zn8Cu3 (a structure optimized by DFT (PBE); Cu Kα (λ = 1.5418 Å)).
Peak positions follow from Bragg's law for the DFT cell and can differ from measured ones.

Crystal structure
```
14
Lattice="-2.2118 4.4102 6.4955 2.2118 -4.4102 6.4955 2.2118 4.4102 -6.4955" Properties=species:S:1:pos:R:3 pbc="T T T"
Pm 0.0000 0.0000 0.0000
Pm 0.0000 0.0000 3.8728
Pm 0.0000 0.0000 9.1182
Zn 2.2118 -1.2710 2.0611
Zn 2.2118 -1.8491 4.8357
Zn 2.2118 1.2710 2.0611
Zn 0.0000 2.5612 1.6598
Zn 2.2118 1.8491 4.8357
Zn 0.0000 3.1392 4.4344
Zn 0.0000 6.2593 1.6598
Zn 0.0000 5.6812 4.4344
Cu 2.2118 2.8005 0.0000
Cu 0.0000 4.4102 0.0000
Cu 0.0000 1.6098 6.4955
```

Most intense lines, 2θ = 10–90°, by intensity:
Position (°2θ)	I_rel
35.44	100
40.80	58
36.70	51
35.78	41
34.29	35
36.95	31
39.32	29
28.85	29
56.20	21
69.53	20
41.72	19
40.25	18

[2]
Structure and computed PXRD pattern of Pm7Zn2Cu2 (a structure optimized by DFT (PBE); Cu Kα (λ = 1.5418 Å)).
Peak positions follow from Bragg's law for the DFT cell and can differ from measured ones.

Crystal structure
```
11
Lattice="3.8482 -5.5606 0.0000 3.8482 5.5606 0.0000 0.0000 0.0000 7.3184" Properties=species:S:1:pos:R:3 pbc="T T T"
Pm 0.0000 0.0000 0.0000
Pm 1.9241 2.7803 1.9793
Pm 1.9241 2.7803 5.3391
Pm 1.9241 -2.7803 1.9793
Pm 1.9241 -2.7803 5.3391
Pm 3.8482 0.0000 1.8733
Pm 3.8482 0.0000 5.4451
Zn 1.2592 0.0000 3.6592
Zn 6.4372 0.0000 3.6592
Cu 3.8482 2.2692 0.0000
Cu 3.8482 -2.2692 0.0000
```

Most intense lines, 2θ = 10–90°, by intensity:
Position (°2θ)	I_rel
28.19	100
37.58	65
32.20	46
36.42	34
58.28	25
49.86	19
26.16	18
29.22	16
60.59	14
33.80	13
54.99	13
47.24	12

[3]
Structure and computed PXRD pattern of Pm2ZnCu (a structure optimized by DFT (PBE); Cu Kα (λ = 1.5418 Å)).
Peak positions follow from Bragg's law for the DFT cell and can differ from measured ones.

Crystal structure
```
8
Lattice="5.1262 0.0000 0.0000 0.0000 3.6196 0.0000 0.0000 0.0000 10.1798" Properties=species:S:1:pos:R:3 pbc="T T T"
Pm 1.2816 0.0000 1.2290
Pm 1.2816 0.0000 6.4286
Pm 3.8447 0.0000 3.7512
Pm 3.8447 0.0000 8.9507
Zn 1.2816 1.8098 3.8753
Zn 3.8447 1.8098 6.3044
Cu 1.2816 1.8098 8.8971
Cu 3.8447 1.8098 1.2826
```

Most intense lines, 2θ = 10–90°, by intensity:
Position (°2θ)	I_rel
35.08	100
62.85	21
35.27	19
24.63	18
50.54	14
63.18	14
84.69	9
74.18	9
50.42	7
63.03	7
84.88	6
56.88	4

[4]
Structure and computed PXRD pattern of PmZnCu11 (a structure optimized by DFT (PBE); Cu Kα (λ = 1.5418 Å)).
Peak positions follow from Bragg's law for the DFT cell and can differ from measured ones.

Crystal structure
```
13
Lattice="2.4355 -6.0167 0.0000 2.4355 6.0167 0.0000 -2.4076 0.0000 6.0981" Properties=species:S:1:pos:R:3 pbc="T T T"
Pm 0.0000 0.0000 0.0000
Zn 1.2317 0.0000 3.0490
Cu -1.2038 0.0000 3.0490
Cu 1.2178 3.0083 0.0000
Cu 0.0518 3.8581 3.9422
Cu 0.0219 1.3636 4.7271
Cu 2.4117 3.8581 2.1558
Cu 2.4416 1.3636 1.3710
Cu 1.2178 -3.0083 0.0000
Cu 0.0219 -1.3636 4.7271
Cu 0.0518 -3.8581 3.9422
Cu 2.4416 -1.3636 1.3710
Cu 2.4117 -3.8581 2.1558
```

Most intense lines, 2θ = 10–90°, by intensity:
Position (°2θ)	I_rel
42.20	100
42.55	56
42.77	43
42.65	40
47.71	29
42.03	27
36.42	26
36.53	24
77.66	22
48.07	20
36.91	19
29.77	15

[5]
Structure and computed PXRD pattern of Pm11Zn9Cu4 (a structure optimized by DFT (PBE); Cu Kα (λ = 1.5418 Å)).
Peak positions follow from Bragg's law for the DFT cell and can differ from measured ones.

Crystal structure
```
24
Lattice="7.1022 -10.6664 0.0000 7.1022 10.6664 0.0000 0.0000 0.0000 3.6794" Properties=species:S:1:pos:R:3 pbc="T T T"
Pm 0.0000 0.0000 0.0000
Pm 3.3992 3.6862 0.0000
Pm 7.1022 7.0617 0.0000
Pm 4.1087 0.0000 0.0000
Pm 7.1022 2.8224 0.0000
Pm 3.3992 -3.6862 0.0000
Pm 10.8052 3.6862 0.0000
Pm 7.1022 -2.8224 0.0000
Pm 10.0957 0.0000 0.0000
Pm 7.1022 -7.0617 0.0000
Pm 10.8052 -3.6862 0.0000
Zn 2.0113 1.5487 1.8397
Zn 5.6457 4.9776 1.8397
Zn 2.0113 -1.5487 1.8397
Zn 8.5587 4.9776 1.8397
Zn 7.1022 0.0000 1.8397
Zn 5.6457 -4.9776 1.8397
Zn 12.1932 1.5487 1.8397
Zn 8.5587 -4.9776 1.8397
Zn 12.1932 -1.5487 1.8397
Cu 4.9639 2.1044 1.8397
Cu 4.9639 -2.1044 1.8397
Cu 9.2406 2.1044 1.8397
Cu 9.2406 -2.1044 1.8397
```

Most intense lines, 2θ = 10–90°, by intensity:
Position (°2θ)	I_rel
35.12	100
35.10	94
35.74	79
25.06	31
62.58	30
49.55	28
37.43	26
33.31	21
63.80	20
32.13	17
32.75	17
56.36	17

[6]
Structure and computed PXRD pattern of Pm3Zn2Cu2 (a structure optimized by DFT (PBE); Cu Kα (λ = 1.5418 Å)).
Peak positions follow from Bragg's law for the DFT cell and can differ from measured ones.

Crystal structure
```
7
Lattice="2.3782 1.3730 9.0381 -2.3782 1.3730 9.0381 0.0000 -2.7461 9.0381" Properties=species:S:1:pos:R:3 pbc="T T T"
Pm 0.0000 0.0000 0.0000
Pm 0.0000 0.0000 5.7887
Pm 0.0000 0.0000 21.3256
Zn 0.0000 0.0000 10.8747
Zn 0.0000 0.0000 16.2395
Cu 0.0000 0.0000 2.7440
Cu 0.0000 0.0000 24.3703
```

Most intense lines, 2θ = 10–90°, by intensity:
Position (°2θ)	I_rel
37.83	100
27.19	81
39.80	64
21.82	35
48.79	31
69.64	23
56.08	23
29.65	21
47.21	18
68.32	17
62.02	16
80.83	10

[7]
Structure and computed PXRD pattern of Pm2Zn12Cu5 (a structure optimized by DFT (PBE); Cu Kα (λ = 1.5418 Å)).
Peak positions follow from Bragg's law for the DFT cell and can differ from measured ones.

Crystal structure
```
19
Lattice="4.4471 2.5675 4.3518 -4.4471 2.5675 4.3518 0.0000 -5.1351 4.3518" Properties=species:S:1:pos:R:3 pbc="T T T"
Pm 0.0000 0.0000 2.1248
Pm 0.0000 0.0000 10.9308
Zn 0.0000 -2.5240 4.1619
Zn -2.1859 1.2620 4.1619
Zn -1.2794 -2.2160 6.5278
Zn -2.5588 0.0000 6.5278
Zn -2.1859 -1.2620 8.8936
Zn 1.2794 -2.2160 6.5278
Zn -1.2794 2.2160 6.5278
Zn 2.1858 1.2620 4.1619
Zn 2.5588 0.0000 6.5278
Zn 1.2794 2.2160 6.5278
Zn 2.1858 -1.2620 8.8936
Zn 0.0000 2.5240 8.8936
Cu -2.2236 -1.2838 4.3518
Cu 0.0000 0.0000 5.2170
Cu -2.2236 1.2838 8.7037
Cu 0.0000 2.5675 4.3518
Cu 0.0000 0.0000 7.8386
```

Most intense lines, 2θ = 10–90°, by intensity:
Position (°2θ)	I_rel
40.81	100
40.57	66
41.52	49
34.95	38
45.83	33
36.07	31
28.70	29
59.45	27
73.83	23
41.80	22
75.24	20
87.82	15

[8]
Structure and computed PXRD pattern of PmZn3Cu3 (a structure optimized by DFT (PBE); Cu Kα (λ = 1.5418 Å)).
Peak positions follow from Bragg's law for the DFT cell and can differ from measured ones.

Crystal structure
```
14
Lattice="3.5121 2.0277 5.4029 -3.5121 2.0277 5.4029 0.0000 -4.0554 5.4029" Properties=species:S:1:pos:R:3 pbc="T T T"
Pm 0.0000 0.0000 2.1783
Pm 0.0000 0.0000 14.0303
Zn 0.0000 -1.5738 5.0219
Zn -1.3630 0.7869 5.0219
Zn -1.3630 -0.7869 11.1868
Zn 1.3630 0.7869 5.0219
Zn 1.3630 -0.7869 11.1868
Zn 0.0000 1.5738 11.1868
Cu -1.2929 -0.7465 7.0966
Cu 0.0000 -1.4930 9.1120
Cu -1.2929 0.7465 9.1120
Cu 1.2929 -0.7465 7.0966
Cu 0.0000 1.4930 7.0966
Cu 1.2929 0.7465 9.1121
```

Most intense lines, 2θ = 10–90°, by intensity:
Position (°2θ)	I_rel
36.95	100
39.59	53
47.92	40
30.35	38
41.74	32
59.33	19
52.08	17
60.95	15
54.41	15
40.68	14
80.33	14
82.37	10

[9]
Structure and computed PXRD pattern of PrCu (a structure optimized by DFT (PBE); Cu Kα (λ = 1.5418 Å)).
Peak positions follow from Bragg's law for the DFT cell and can differ from measured ones.

Crystal structure
```
8
Lattice="7.4911 0.0000 0.0000 0.0000 4.5935 0.0000 0.0000 0.0000 5.6196" Properties=species:S:1:pos:R:3 pbc="T T T"
Pr 1.3442 1.1484 0.6700
Pr 2.4014 3.4451 3.4798
Pr 5.0898 1.1484 2.1398
Pr 6.1470 3.4451 4.9496
Cu 0.2506 1.1484 3.4490
Cu 3.4949 3.4451 0.6392
Cu 3.9962 1.1484 4.9804
Cu 7.2405 3.4451 2.1706
```

Most intense lines, 2θ = 10–90°, by intensity:
Position (°2θ)	I_rel
39.48	100
30.80	71
27.77	66
34.08	57
34.78	56
52.93	44
39.23	43
56.88	26
66.55	21
71.23	17
58.65	17
25.04	16

[10]
Structure and computed PXRD pattern of Pr5Cu6 (a structure optimized by DFT (PBE); Cu Kα (λ = 1.5418 Å)).
Peak positions follow from Bragg's law for the DFT cell and can differ from measured ones.

Crystal structure
```
11
Lattice="2.2100 -14.9426 0.0000 2.2100 14.9426 0.0000 0.0000 0.0000 3.8723" Properties=species:S:1:pos:R:3 pbc="T T T"
Pr 0.0000 0.0000 0.0000
Pr 2.2100 9.0627 1.9362
Pr 2.2100 3.4522 0.0000
Pr 2.2100 -3.4522 0.0000
Pr 2.2100 -9.0627 1.9362
Cu 2.2100 12.4211 1.9362
Cu 2.2100 6.7543 0.0000
Cu 2.2100 1.2168 1.9362
Cu 2.2100 -1.2168 1.9362
Cu 2.2100 -6.7543 0.0000
Cu 2.2100 -12.4211 1.9362
```

Most intense lines, 2θ = 10–90°, by intensity:
Position (°2θ)	I_rel
32.01	100
33.33	61
40.83	32
25.06	32
53.69	31
38.91	30
37.38	27
46.93	22
29.90	17
63.92	17
41.23	16
62.55	14

[11]
Structure and computed PXRD pattern of Pr2Cu17 (a structure optimized by DFT (PBE); Cu Kα (λ = 1.5418 Å)).
Peak positions follow from Bragg's law for the DFT cell and can differ from measured ones.

Crystal structure
```
19
Lattice="4.3208 2.4946 4.2100 -4.3208 2.4946 4.2100 0.0000 -4.9892 4.2100" Properties=species:S:1:pos:R:3 pbc="T T T"
Pr 0.0000 0.0000 1.9904
Pr 0.0000 0.0000 10.6395
Cu -2.1604 -1.2473 4.2100
Cu 0.0000 -2.4689 4.0698
Cu -2.1382 1.2345 4.0698
Cu -1.2547 -2.1731 6.3149
Cu -2.5093 0.0000 6.3149
Cu -2.1382 -1.2345 8.5601
Cu 0.0000 0.0000 5.0868
Cu -2.1604 1.2473 8.4199
Cu 1.2546 -2.1731 6.3149
Cu 0.0000 2.4946 4.2099
Cu -1.2546 2.1731 6.3149
Cu 0.0000 0.0000 7.5431
Cu 2.1382 1.2345 4.0698
Cu 2.5093 0.0000 6.3149
Cu 1.2546 2.1731 6.3149
Cu 2.1382 -1.2345 8.5601
Cu 0.0000 2.4689 8.5601
```

Most intense lines, 2θ = 10–90°, by intensity:
Position (°2θ)	I_rel
42.10	100
41.81	65
42.95	50
36.00	38
47.29	33
37.26	29
29.63	29
61.49	27
60.86	22
78.15	18
76.35	17
68.91	16

[12]
Structure and computed PXRD pattern of Pr3Cu2 (a structure optimized by DFT (PBE); Cu Kα (λ = 1.5418 Å)).
Peak positions follow from Bragg's law for the DFT cell and can differ from measured ones.

Crystal structure
```
5
Lattice="-1.8144 1.8144 9.9763 1.8144 -1.8144 9.9763 1.8144 1.8144 -9.9763" Properties=species:S:1:pos:R:3 pbc="T T T"
Pr 0.0000 0.0000 0.0000
Pr 0.0000 0.0000 3.5844
Pr 0.0000 0.0000 16.3681
Cu 0.0000 0.0000 8.1768
Cu 0.0000 0.0000 11.7757
```

Most intense lines, 2θ = 10–90°, by intensity:
Position (°2θ)	I_rel
33.37	100
34.97	56
61.70	33
50.29	20
24.94	18
44.60	12
40.23	12
26.81	12
58.60	11
67.08	9
84.41	9
28.01	8